Computed powder diffraction line list
Compound: Y3ZrAl8
Radiation: Cu Kα, 1.54184 Å
Structure: a PBE-relaxed structure
Kinematic intensities with the Lorentz-polarization factor, no thermal factor.

Largest 10 diffraction maxima, in order of rising 2θ, 15 to 90 degrees two-theta:
| 2θ/deg | intensity | index |
| --- | --- | --- |
| 19.75 | 30 | 0 1 2 |
| 32.53 | 79 | 1 1 0 |
| 38.34 | 100 | 2 0 2 |
| 40.12 | 10 | 0 2 4 |
| 58.02 | 22 | 1 0 16 |
| 61.94 | 24 | 3 0 6 |
| 68.07 | 11 | 0 2 16 |
| 68.18 | 11 | 2 2 0 |
| 77.54 | 12 | 2 1 16 |
| 81.02 | 8 | 1 3 10 |

Structural model:
Cell lengths 5.5016, 5.5016, 27.0113 Å; angles 90.00, 90.00, 120.00 degrees
Space group R3m (No. 160, hexagonal axes)
Inequivalent atoms, fractional coordinates:
Y: 0.0000 0.0000 0.0000 (multiplicity 3)
Y: 0.0000 0.0000 0.1256 (multiplicity 3)
Y: 0.0000 0.0000 0.5014 (multiplicity 3)
Zr: 0.0000 0.0000 0.6257 (multiplicity 3)
Al: 0.0000 0.0000 0.3129 (multiplicity 3)
Al: 0.0000 0.0000 0.8132 (multiplicity 3)
Al: 0.0006 0.5003 0.5647 (multiplicity 9)
Al: 0.1674 0.3348 0.3948 (multiplicity 9)